No. 1
CsNaTlF6: computed PXRD pattern (CuKα), based on a DFT-relaxed cell (GGA-PBE, Alexandria).
No peak broadening, texture or thermal motion is included.

Structure:
```
data_CsNaTlF6
_cell_length_a 7.3887
_cell_length_b 8.3457
_cell_length_c 11.7378
_cell_angle_alpha 90.00
_cell_angle_beta 90.00
_cell_angle_gamma 90.00
_symmetry_space_group_name_H-M 'I m m a'
_symmetry_Int_Tables_number 74
_symmetry_space_group_name_Hall '-I 2b 2'
loop_
_atom_site_label
_atom_site_type_symbol
_atom_site_fract_x
_atom_site_fract_y
_atom_site_fract_z
_atom_site_occupancy
Cs1 Cs 0.0000 0.2500 0.1168 1
Na1 Na 0.2500 0.2500 0.7500 1
Tl1 Tl 0.0000 0.0000 0.5000 1
F1 F 0.0000 0.2500 0.4260 1
F2 F 0.0000 0.2500 0.8627 1
F3 F 0.2101 0.0470 0.6206 1
```

The 8 most intense peaks (10° ≤ 2θ ≤ 80°), in order of rising 2θ:
2θ/deg  I_rel
14.16  22
15.10  26
24.09  16
25.70  100
26.20  15
28.55  17
43.38  31
45.04  31



No. 2
NdDyMg5: computed PXRD pattern (CuKα), based on a DFT-relaxed cell (GGA-PBE, Alexandria).
No peak broadening, texture or thermal motion is included.

Structure:
```
data_NdDyMg5
_cell_length_a 6.3602
_cell_length_b 9.7398
_cell_length_c 6.6964
_cell_angle_alpha 90.00
_cell_angle_beta 109.87
_cell_angle_gamma 90.00
_symmetry_space_group_name_H-M 'C 1 2/m 1'
_symmetry_Int_Tables_number 12
_symmetry_space_group_name_Hall '-C 2y'
loop_
_atom_site_label
_atom_site_type_symbol
_atom_site_fract_x
_atom_site_fract_y
_atom_site_fract_z
_atom_site_occupancy
Nd1 Nd 0.0000 0.0000 0.0000 1
Dy1 Dy 0.0000 0.5000 0.5000 1
Mg1 Mg 0.0000 0.0000 0.5000 1
Mg2 Mg 0.2035 0.2882 0.2285 1
```

The 8 most intense peaks (10° ≤ 2θ ≤ 80°), in order of rising 2θ:
2θ/deg  I_rel
18.22  48
18.96  100
25.47  70
32.28  50
33.59  35
33.90  67
35.22  55
36.92  22



No. 3
TbDy12Th7: computed PXRD pattern (CuKα), based on a DFT-relaxed cell (GGA-PBE, Alexandria).
No peak broadening, texture or thermal motion is included.

Structure:
```
data_TbDy12Th7
_cell_length_a 11.5253
_cell_length_b 11.5253
_cell_length_c 11.5253
_cell_angle_alpha 90.00
_cell_angle_beta 90.00
_cell_angle_gamma 90.00
_symmetry_space_group_name_H-M 'I m -3'
_symmetry_Int_Tables_number 204
_symmetry_space_group_name_Hall '-I 2 2 3'
loop_
_atom_site_label
_atom_site_type_symbol
_atom_site_fract_x
_atom_site_fract_y
_atom_site_fract_z
_atom_site_occupancy
Tb1 Tb 0.0000 0.0000 0.0000 1
Dy1 Dy 0.0000 0.2559 0.2533 1
Th1 Th 0.0000 0.0000 0.5000 1
Th2 Th 0.2500 0.2500 0.2500 1
```

The 8 most intense peaks (10° ≤ 2θ ≤ 80°), in order of rising 2θ:
2θ/deg  I_rel
21.81  41
26.80  51
31.04  100
38.26  21
44.47  75
52.68  23
55.22  27
73.49  34



No. 4
Rb2TlF7: computed PXRD pattern (CuKα), based on a DFT-relaxed cell (GGA-PBE, Alexandria).
No peak broadening, texture or thermal motion is included.

Structure:
```
data_Rb2TlF7
_cell_length_a 6.1847
_cell_length_b 6.1847
_cell_length_c 9.7407
_cell_angle_alpha 90.00
_cell_angle_beta 90.00
_cell_angle_gamma 90.00
_symmetry_space_group_name_H-M 'I 4/m m m'
_symmetry_Int_Tables_number 139
_symmetry_space_group_name_Hall '-I 4 2'
loop_
_atom_site_label
_atom_site_type_symbol
_atom_site_fract_x
_atom_site_fract_y
_atom_site_fract_z
_atom_site_occupancy
Rb1 Rb 0.0000 0.5000 0.2500 1
Tl1 Tl 0.0000 0.0000 0.0000 1
F1 F 0.0000 0.0000 0.2178 1
F2 F 0.0000 0.0000 0.5000 1
F3 F 0.2491 0.2491 0.0000 1
```

The 8 most intense peaks (10° ≤ 2θ ≤ 80°), in order of rising 2θ:
2θ/deg  I_rel
16.98  85
27.41  100
28.87  43
33.69  32
36.91  22
41.29  34
50.27  38
56.57  24



No. 5
Li2CaGa4: computed PXRD pattern (CuKα), based on a DFT-relaxed cell (GGA-PBE, Alexandria).
No peak broadening, texture or thermal motion is included.

Structure:
```
data_Li2CaGa4
_cell_length_a 3.4081
_cell_length_b 4.3817
_cell_length_c 18.3863
_cell_angle_alpha 90.00
_cell_angle_beta 90.00
_cell_angle_gamma 90.00
_symmetry_space_group_name_H-M 'I m m m'
_symmetry_Int_Tables_number 71
_symmetry_space_group_name_Hall '-I 2 2'
loop_
_atom_site_label
_atom_site_type_symbol
_atom_site_fract_x
_atom_site_fract_y
_atom_site_fract_z
_atom_site_occupancy
Li1 Li 0.0000 0.0000 0.2008 1
Ca1 Ca 0.0000 0.5000 0.0000 1
Ga1 Ga 0.0000 0.0000 0.3497 1
Ga2 Ga 0.0000 0.5000 0.4250 1
```

The 8 most intense peaks (10° ≤ 2θ ≤ 80°), in order of rising 2θ:
2θ/deg  I_rel
19.31  39
26.60  78
30.00  45
34.75  89
40.02  100
41.20  49
44.83  63
69.12  40



No. 6
Mg6CuHg: computed PXRD pattern (CuKα), based on a DFT-relaxed cell (GGA-PBE, Alexandria).
No peak broadening, texture or thermal motion is included.

Structure:
```
data_Mg6CuHg
_cell_length_a 4.6013
_cell_length_b 4.6013
_cell_length_c 15.6828
_cell_angle_alpha 90.00
_cell_angle_beta 90.00
_cell_angle_gamma 90.00
_symmetry_space_group_name_H-M 'I 4/m m m'
_symmetry_Int_Tables_number 139
_symmetry_space_group_name_Hall '-I 4 2'
loop_
_atom_site_label
_atom_site_type_symbol
_atom_site_fract_x
_atom_site_fract_y
_atom_site_fract_z
_atom_site_occupancy
Mg1 Mg 0.0000 0.0000 0.2488 1
Mg2 Mg 0.0000 0.5000 0.1087 1
Cu1 Cu 0.0000 0.0000 0.0000 1
Hg1 Hg 0.0000 0.0000 0.5000 1
```

The 8 most intense peaks (10° ≤ 2θ ≤ 80°), in order of rising 2θ:
2θ/deg  I_rel
11.28  100
20.11  33
27.41  23
29.73  30
35.87  83
39.16  34
44.44  30
68.82  24



Q: Number 3 is which compound?
A: TbDy12Th7